Structure and computed XRD peak list of ErZn2Au7 (a structure optimized by DFT (PBE); λ = 1.5418 Å (Cu Kα)).
Lines closer than 0.1° are merged.

Top 8 peaks for 10° ≤ 2θ ≤ 80°, in order of rising 2θ:
2θ (°), d/Å, intensity
19.23, 4.615, 43.4
30.85, 2.898, 50.4
33.49, 2.676, 61.3
36.48, 2.463, 79.1
39.03, 2.308, 65.7
41.36, 2.183, 100.0
41.88, 2.157, 85.2
54.49, 1.684, 50.5

Structure:
a = 7.5506 Å, b = 7.5506 Å, c = 4.6154 Å
α = 90.00°, β = 90.00°, γ = 120.89°
Fractional positions:
Er 0.0000 0.0000 0.0000
Zn 0.2994 0.7006 0.5000
Zn 0.7006 0.2994 0.5000
Au 0.0726 0.2994 0.5000
Au 0.2165 0.7835 0.0000
Au 0.2994 0.0726 0.5000
Au 0.5000 0.5000 0.5000
Au 0.7006 0.9274 0.5000
Au 0.7835 0.2165 0.0000
Au 0.9274 0.7006 0.5000